(1)
For RbNaCuF6, a cell relaxed with GGA-PBE gives the calculated powder XRD pattern in this record (Cu Kα (λ = 1.5418 Å)).
Peak positions follow from Bragg's law for the DFT cell and can differ from measured ones.

Principal peaks in the range 2θ = 5–70°, in order of falling intensity:
| two_theta | I_rel | h k l |
| --- | --- | --- |
| 27.5 | 100.0 | 1 2 1 |
| 29.7 | 45.5 | 1 0 3 |
| 50.2 | 41.6 | 2 2 4 |
| 45.8 | 31.8 | 3 0 3 |
| 24.5 | 29.4 | 1 1 2 |
| 23.9 | 28.4 | 2 0 0 |
| 14.9 | 26.3 | 1 0 1 |
| 28.1 | 21.2 | 2 1 1 |
| 46.9 | 20.5 | 0 4 0 |
| 29.3 | 19.2 | 0 2 2 |

Structure:
```
data_RbNaCuF6
_chemical_formula_sum 'Rb4 Na4 Cu4 F24'
_cell_length_a 7.444
_cell_length_b 7.741
_cell_length_c 9.884
_cell_angle_alpha 90.00
_cell_angle_beta 90.00
_cell_angle_gamma 90.00
_symmetry_space_group_name_H-M 'I m m a'
_symmetry_Int_Tables_number 74
_symmetry_space_group_name_Hall '-I 2b 2'
loop_
_atom_site_label
_atom_site_type_symbol
_atom_site_fract_x
_atom_site_fract_y
_atom_site_fract_z
Rb1 Rb 0.000 0.250 0.145
Na1 Na 0.250 0.250 0.750
Cu1 Cu 0.000 0.000 0.500
F1 F 0.000 0.250 0.542
F2 F 0.000 0.250 0.871
F3 F 0.171 0.028 0.372
```


(2)
For TaTlP2O8, a cell relaxed with GGA-PBE gives the calculated powder XRD pattern in this record (Cu Kα (λ = 1.5418 Å)).
Peak positions follow from Bragg's law for the DFT cell and can differ from measured ones.

Principal peaks in the range 2θ = 5–70°, in order of falling intensity:
| two_theta | I_rel | h k l |
| --- | --- | --- |
| 28.6 | 100.0 | 0 1 2 |
| 19.5 | 88.1 | 1 0 0 |
| 34.2 | 37.7 | 1 1 0 |
| 45.2 | 31.1 | 0 2 2 |
| 57.8 | 27.9 | 1 2 2 |
| 40.3 | 27.6 | 1 1 2 |
| 46.9 | 22.7 | 1 0 4 |
| 20.7 | 21.4 | 0 0 2 |
| 55.4 | 16.3 | 1 1 4 |
| 53.3 | 14.4 | 2 1 0 |

Structure:
```
data_TaTlP2O8
_chemical_formula_sum 'Ta1 Tl1 P2 O8'
_cell_length_a 5.2491
_cell_length_b 5.2491
_cell_length_c 8.5691
_cell_angle_alpha 90.00
_cell_angle_beta 90.00
_cell_angle_gamma 120.00
_symmetry_space_group_name_H-M 'P -3 m 1'
_symmetry_Int_Tables_number 164
_symmetry_space_group_name_Hall '-P 3 2"'
loop_
_atom_site_label
_atom_site_type_symbol
_atom_site_fract_x
_atom_site_fract_y
_atom_site_fract_z
Ta1 Ta 0.0000 0.0000 0.0000
Tl1 Tl 0.0000 0.0000 0.5000
P1 P 0.3333 0.6667 0.2068
O1 O 0.1751 0.3501 0.1354
O2 O 0.3333 0.6667 0.3811
```


(3)
For Sn3I5Cl, a cell relaxed with GGA-PBE gives the calculated powder XRD pattern in this record (Cu Kα (λ = 1.5418 Å)).
Peak positions follow from Bragg's law for the DFT cell and can differ from measured ones.

Principal peaks in the range 2θ = 5–70°, in order of falling intensity:
| two_theta | I_rel | h k l |
| --- | --- | --- |
| 25.4 | 100.0 | 2 0 1 |
| 41.2 | 92.5 | 3 9 1 |
| 17.2 | 76.8 | 0 6 0 |
| 25.9 | 74.6 | 0 6 1 |
| 32.7 | 74.2 | 3 3 1 |
| 33.5 | 46.3 | 1 9 1 |
| 39.0 | 40.3 | 0 0 2 |
| 16.4 | 40.1 | 2 0 0 |
| 33.2 | 38.0 | 4 0 0 |
| 26.2 | 32.3 | 3 3 0 |

Structure:
```
data_Sn3I5Cl
_chemical_formula_sum 'Sn12 I20 Cl4'
_cell_length_a 10.796
_cell_length_b 30.922
_cell_length_c 4.624
_cell_angle_alpha 90.00
_cell_angle_beta 90.00
_cell_angle_gamma 90.00
_symmetry_space_group_name_H-M 'C m m m'
_symmetry_Int_Tables_number 65
_symmetry_space_group_name_Hall '-C 2 2'
loop_
_atom_site_label
_atom_site_type_symbol
_atom_site_fract_x
_atom_site_fract_y
_atom_site_fract_z
Sn1 Sn 0.000 0.000 0.000
Sn2 Sn 0.000 0.153 0.500
Sn3 Sn 0.000 0.329 0.000
Sn4 Sn 0.000 0.500 0.500
I1 I 0.000 0.223 0.000
I2 I 0.000 0.430 0.000
I3 I 0.204 0.000 0.500
I4 I 0.204 0.333 0.500
Cl1 Cl 0.000 0.094 0.000
```


(4)
For Sr2Mg3Zn6, a cell relaxed with GGA-PBE gives the calculated powder XRD pattern in this record (Cu Kα (λ = 1.5418 Å)).
Peak positions follow from Bragg's law for the DFT cell and can differ from measured ones.

Principal peaks in the range 2θ = 5–70°, in order of falling intensity:
| two_theta | I_rel | h k l |
| --- | --- | --- |
| 30.9 | 100.0 | 2 2 1 |
| 27.0 | 83.0 | 2 0 1 |
| 40.8 | 75.9 | 0 0 2 |
| 31.3 | 73.4 | 1 3 1 |
| 35.1 | 53.2 | 3 3 0 |
| 20.1 | 36.0 | 0 0 1 |
| 34.7 | 30.6 | 2 4 0 |
| 54.9 | 28.3 | 3 3 2 |
| 52.0 | 25.7 | 4 4 1 |
| 24.9 | 23.2 | 0 2 1 |

Structure:
```
data_Sr2Mg3Zn6
_chemical_formula_sum 'Sr4 Mg6 Zn12'
_cell_length_a 9.879
_cell_length_b 12.153
_cell_length_c 4.428
_cell_angle_alpha 90.00
_cell_angle_beta 90.00
_cell_angle_gamma 90.00
_symmetry_space_group_name_H-M 'C m m m'
_symmetry_Int_Tables_number 65
_symmetry_space_group_name_Hall '-C 2 2'
loop_
_atom_site_label
_atom_site_type_symbol
_atom_site_fract_x
_atom_site_fract_y
_atom_site_fract_z
Sr1 Sr 0.000 0.210 0.000
Mg1 Mg 0.000 0.500 0.500
Mg2 Mg 0.206 0.500 0.000
Zn1 Zn 0.122 0.000 0.500
Zn2 Zn 0.209 0.345 0.500
```


Please write out number 4 again, unchanged.
For Sr2Mg3Zn6, a cell relaxed with GGA-PBE gives the calculated powder XRD pattern in this record (Cu Kα (λ = 1.5418 Å)).
Peak positions follow from Bragg's law for the DFT cell and can differ from measured ones.

Principal peaks in the range 2θ = 5–70°, in order of falling intensity:
| two_theta | I_rel | h k l |
| --- | --- | --- |
| 30.9 | 100.0 | 2 2 1 |
| 27.0 | 83.0 | 2 0 1 |
| 40.8 | 75.9 | 0 0 2 |
| 31.3 | 73.4 | 1 3 1 |
| 35.1 | 53.2 | 3 3 0 |
| 20.1 | 36.0 | 0 0 1 |
| 34.7 | 30.6 | 2 4 0 |
| 54.9 | 28.3 | 3 3 2 |
| 52.0 | 25.7 | 4 4 1 |
| 24.9 | 23.2 | 0 2 1 |

Structure:
```
data_Sr2Mg3Zn6
_chemical_formula_sum 'Sr4 Mg6 Zn12'
_cell_length_a 9.879
_cell_length_b 12.153
_cell_length_c 4.428
_cell_angle_alpha 90.00
_cell_angle_beta 90.00
_cell_angle_gamma 90.00
_symmetry_space_group_name_H-M 'C m m m'
_symmetry_Int_Tables_number 65
_symmetry_space_group_name_Hall '-C 2 2'
loop_
_atom_site_label
_atom_site_type_symbol
_atom_site_fract_x
_atom_site_fract_y
_atom_site_fract_z
Sr1 Sr 0.000 0.210 0.000
Mg1 Mg 0.000 0.500 0.500
Mg2 Mg 0.206 0.500 0.000
Zn1 Zn 0.122 0.000 0.500
Zn2 Zn 0.209 0.345 0.500
```


Copy entry 2 word for word.
For TaTlP2O8, a cell relaxed with GGA-PBE gives the calculated powder XRD pattern in this record (Cu Kα (λ = 1.5418 Å)).
Peak positions follow from Bragg's law for the DFT cell and can differ from measured ones.

Principal peaks in the range 2θ = 5–70°, in order of falling intensity:
| two_theta | I_rel | h k l |
| --- | --- | --- |
| 28.6 | 100.0 | 0 1 2 |
| 19.5 | 88.1 | 1 0 0 |
| 34.2 | 37.7 | 1 1 0 |
| 45.2 | 31.1 | 0 2 2 |
| 57.8 | 27.9 | 1 2 2 |
| 40.3 | 27.6 | 1 1 2 |
| 46.9 | 22.7 | 1 0 4 |
| 20.7 | 21.4 | 0 0 2 |
| 55.4 | 16.3 | 1 1 4 |
| 53.3 | 14.4 | 2 1 0 |

Structure:
```
data_TaTlP2O8
_chemical_formula_sum 'Ta1 Tl1 P2 O8'
_cell_length_a 5.2491
_cell_length_b 5.2491
_cell_length_c 8.5691
_cell_angle_alpha 90.00
_cell_angle_beta 90.00
_cell_angle_gamma 120.00
_symmetry_space_group_name_H-M 'P -3 m 1'
_symmetry_Int_Tables_number 164
_symmetry_space_group_name_Hall '-P 3 2"'
loop_
_atom_site_label
_atom_site_type_symbol
_atom_site_fract_x
_atom_site_fract_y
_atom_site_fract_z
Ta1 Ta 0.0000 0.0000 0.0000
Tl1 Tl 0.0000 0.0000 0.5000
P1 P 0.3333 0.6667 0.2068
O1 O 0.1751 0.3501 0.1354
O2 O 0.3333 0.6667 0.3811
```


- Which formula does entry 2 have?
  TaTlP2O8